Entry 1:
Pm3NiOs: calculated X-ray powder pattern (CuKα), based on a cell relaxed with PBE.
Neutral-atom scattering factors, no anomalous dispersion.

Most intense lines, 15 to 90 degrees two-theta, sorted by position:
2θ = 15.30°, d 5.792, intensity 41; 2θ = 29.88°, d 2.990, intensity 89; 2θ = 32.91°, d 2.721, intensity 100; 2θ = 34.49°, d 2.600, intensity 30; 2θ = 35.38°, d 2.537, intensity 68; 2θ = 35.86°, d 2.504, intensity 30; 2θ = 35.95°, d 2.498, intensity 55; 2θ = 37.23°, d 2.415, intensity 63; 2θ = 37.48°, d 2.400, intensity 51; 2θ = 57.50°, d 1.603, intensity 41

```
data_Pm3NiOs
_space_group_name_H-M_alt 'C m c e'
_space_group_IT_number 64
_space_group_name_Hall '-C 2ac 2'
_cell_length_a 10.0053
_cell_length_b 11.5847
_cell_length_c 8.3062
_cell_angle_alpha 90.00
_cell_angle_beta 90.00
_cell_angle_gamma 90.00
loop_
_atom_site_label
_atom_site_type_symbol
_atom_site_fract_x
_atom_site_fract_y
_atom_site_fract_z
Pm1 Pm 0.0000 0.0815 0.1645
Pm2 Pm 0.1682 0.1372 0.5741
Ni1 Ni 0.2500 0.1663 0.2500
Os1 Os 0.0000 0.2093 0.8571
```


Entry 2:
Sm2MgPd: calculated X-ray powder pattern (CuKα), based on a cell relaxed with PBE.
Neutral-atom scattering factors, no anomalous dispersion.

Most intense lines, 15 to 90 degrees two-theta, sorted by position:
2θ = 25.14°, d 3.542, intensity 66; 2θ = 32.14°, d 2.785, intensity 76; 2θ = 32.27°, d 2.774, intensity 65; 2θ = 33.25°, d 2.695, intensity 77; 2θ = 33.72°, d 2.658, intensity 68; 2θ = 34.60°, d 2.592, intensity 99; 2θ = 38.10°, d 2.362, intensity 37; 2θ = 39.57°, d 2.278, intensity 100; 2θ = 49.43°, d 1.844, intensity 30; 2θ = 61.74°, d 1.502, intensity 67

```
data_Sm2MgPd
_space_group_name_H-M_alt 'C m c m'
_space_group_IT_number 63
_space_group_name_Hall '-C 2c 2'
_cell_length_a 3.6878
_cell_length_b 12.7433
_cell_length_c 8.9206
_cell_angle_alpha 90.00
_cell_angle_beta 90.00
_cell_angle_gamma 90.00
loop_
_atom_site_label
_atom_site_type_symbol
_atom_site_fract_x
_atom_site_fract_y
_atom_site_fract_z
Sm1 Sm 0.0000 0.1333 0.0537
Mg1 Mg 0.0000 0.4372 0.2500
Pd1 Pd 0.0000 0.2428 0.7500
```


Entry 3:
Ho2Ga3Cu2: calculated X-ray powder pattern (CuKα), based on a cell relaxed with PBE.
Neutral-atom scattering factors, no anomalous dispersion.

Most intense lines, 15 to 90 degrees two-theta, sorted by position:
2θ = 28.98°, d 3.081, intensity 15; 2θ = 32.38°, d 2.765, intensity 20; 2θ = 33.99°, d 2.638, intensity 81; 2θ = 35.24°, d 2.547, intensity 100; 2θ = 39.84°, d 2.263, intensity 18; 2θ = 43.16°, d 2.096, intensity 35; 2θ = 44.11°, d 2.053, intensity 35; 2θ = 57.41°, d 1.605, intensity 21; 2θ = 63.42°, d 1.467, intensity 23; 2θ = 77.32°, d 1.234, intensity 14

```
data_Ho2Ga3Cu2
_space_group_name_H-M_alt 'C m c m'
_space_group_IT_number 63
_space_group_name_Hall '-C 2c 2'
_cell_length_a 4.1920
_cell_length_b 18.1017
_cell_length_c 6.9107
_cell_angle_alpha 90.00
_cell_angle_beta 90.00
_cell_angle_gamma 90.00
loop_
_atom_site_label
_atom_site_type_symbol
_atom_site_fract_x
_atom_site_fract_y
_atom_site_fract_z
Ho1 Ho 0.0000 0.0535 0.2500
Ho2 Ho 0.0000 0.1595 0.7500
Ga1 Ga 0.0000 0.2238 0.2500
Ga2 Ga 0.0000 0.4372 0.0692
Cu1 Cu 0.0000 0.3087 0.5613
```


Entry 4:
AcNd3Sn: calculated X-ray powder pattern (CuKα), based on a cell relaxed with PBE.
Neutral-atom scattering factors, no anomalous dispersion.

Most intense lines, 15 to 90 degrees two-theta, sorted by position:
2θ = 20.35°, d 4.364, intensity 44; 2θ = 25.25°, d 3.527, intensity 57; 2θ = 25.57°, d 3.483, intensity 97; 2θ = 29.84°, d 2.995, intensity 61; 2θ = 30.92°, d 2.892, intensity 100; 2θ = 31.72°, d 2.821, intensity 39; 2θ = 32.90°, d 2.722, intensity 47; 2θ = 35.64°, d 2.519, intensity 36; 2θ = 37.30°, d 2.411, intensity 37; 2θ = 47.12°, d 1.929, intensity 44

```
data_AcNd3Sn
_space_group_name_H-M_alt 'R 3 c'
_space_group_IT_number 161
_space_group_name_Hall 'R 3 -2"c'
_cell_length_a 8.7273
_cell_length_b 8.7273
_cell_length_c 17.9677
_cell_angle_alpha 90.00
_cell_angle_beta 90.00
_cell_angle_gamma 120.00
loop_
_atom_site_label
_atom_site_type_symbol
_atom_site_fract_x
_atom_site_fract_y
_atom_site_fract_z
Ac1 Ac 0.0000 0.0000 0.0000
Nd1 Nd 0.0611 0.4591 0.4858
Sn1 Sn 0.0000 0.0000 0.1898
```


Entry 5:
K3Cl: calculated X-ray powder pattern (CuKα), based on a cell relaxed with PBE.
Neutral-atom scattering factors, no anomalous dispersion.

Most intense lines, 15 to 90 degrees two-theta, sorted by position:
2θ = 22.99°, d 3.868, intensity 21; 2θ = 23.16°, d 3.841, intensity 26; 2θ = 26.75°, d 3.332, intensity 100; 2θ = 31.07°, d 2.878, intensity 65; 2θ = 31.92°, d 2.804, intensity 28; 2θ = 38.09°, d 2.362, intensity 46; 2θ = 39.01°, d 2.309, intensity 19; 2θ = 44.51°, d 2.035, intensity 21; 2θ = 52.70°, d 1.737, intensity 24; 2θ = 59.99°, d 1.542, intensity 21

```
data_K3Cl
_space_group_name_H-M_alt 'P 4/m m m'
_space_group_IT_number 123
_space_group_name_Hall '-P 4 2'
_cell_length_a 4.0708
_cell_length_b 4.0708
_cell_length_c 11.6033
_cell_angle_alpha 90.00
_cell_angle_beta 90.00
_cell_angle_gamma 90.00
loop_
_atom_site_label
_atom_site_type_symbol
_atom_site_fract_x
_atom_site_fract_y
_atom_site_fract_z
K1 K 0.0000 0.0000 0.0000
K2 K 0.5000 0.5000 0.3396
Cl1 Cl 0.0000 0.0000 0.5000
```


Entry 6:
KTl2InPb: calculated X-ray powder pattern (CuKα), based on a cell relaxed with PBE.
Neutral-atom scattering factors, no anomalous dispersion.

Most intense lines, 15 to 90 degrees two-theta, sorted by position:
2θ = 18.45°, d 4.810, intensity 45; 2θ = 18.65°, d 4.757, intensity 45; 2θ = 27.97°, d 3.190, intensity 79; 2θ = 34.88°, d 2.572, intensity 37; 2θ = 35.33°, d 2.540, intensity 36; 2θ = 36.34°, d 2.472, intensity 100; 2θ = 39.87°, d 2.261, intensity 23; 2θ = 50.49°, d 1.807, intensity 26; 2θ = 63.50°, d 1.465, intensity 20; 2θ = 64.08°, d 1.453, intensity 20

```
data_KTl2InPb
_space_group_name_H-M_alt 'I m m 2'
_space_group_IT_number 44
_space_group_name_Hall 'I 2 -2'
_cell_length_a 5.0805
_cell_length_b 5.1447
_cell_length_c 13.5536
_cell_angle_alpha 90.00
_cell_angle_beta 90.00
_cell_angle_gamma 90.00
loop_
_atom_site_label
_atom_site_type_symbol
_atom_site_fract_x
_atom_site_fract_y
_atom_site_fract_z
K1 K 0.0000 0.0000 0.0000
Tl1 Tl 0.0000 0.0000 0.6127
Tl2 Tl 0.0000 0.5000 0.2503
In1 In 0.0000 0.5000 0.7493
Pb1 Pb 0.0000 0.0000 0.3865
```


Entry 7:
Sc3IrO7: calculated X-ray powder pattern (CuKα), based on a cell relaxed with PBE.
Neutral-atom scattering factors, no anomalous dispersion.

Most intense lines, 15 to 90 degrees two-theta, sorted by position:
2θ = 15.08°, d 5.875, intensity 100; 2θ = 17.63°, d 5.030, intensity 32; 2θ = 29.36°, d 3.042, intensity 22; 2θ = 29.67°, d 3.011, intensity 49; 2θ = 30.43°, d 2.937, intensity 87; 2θ = 31.09°, d 2.877, intensity 80; 2θ = 35.67°, d 2.517, intensity 38; 2θ = 51.34°, d 1.779, intensity 58; 2θ = 60.45°, d 1.532, intensity 19; 2θ = 61.60°, d 1.506, intensity 22

```
data_Sc3IrO7
_space_group_name_H-M_alt 'C 2 2 21'
_space_group_IT_number 20
_space_group_name_Hall 'C 2c 2'
_cell_length_a 7.2367
_cell_length_b 10.0593
_cell_length_c 7.0145
_cell_angle_alpha 90.00
_cell_angle_beta 90.00
_cell_angle_gamma 90.00
loop_
_atom_site_label
_atom_site_type_symbol
_atom_site_fract_x
_atom_site_fract_y
_atom_site_fract_z
Sc1 Sc 0.0398 0.0000 0.0000
Sc2 Sc 0.2322 0.2649 0.7557
Ir1 Ir 0.0012 0.5000 0.0000
O1 O 0.0000 0.1309 0.2500
O2 O 0.0000 0.1392 0.7500
O3 O 0.0000 0.4127 0.7500
O4 O 0.1911 0.3676 0.0371
O5 O 0.2111 0.3755 0.4724
```